This entry pairs a crystal structure of Cs4TlI6 with its theoretical XRD peak list. Radiation: λ = 1.5418 Å (Cu Kα). Structure: a crystal structure in Alexandria, relaxed with GGA-PBE.
No peak broadening, texture or thermal motion is included.

Peak list (6 most intense, 2θ from 5° to 70°, sorted by position)
- 2θ = 16.9°, 5.252 Å, rel. 100
- 2θ = 20.7°, 4.290 Å, rel. 68
- 2θ = 22.5°, 3.944 Å, rel. 92
- 2θ = 23.4°, 3.808 Å, rel. 57
- 2θ = 30.5°, 2.929 Å, rel. 89
- 2θ = 33.2°, 2.701 Å, rel. 72

Crystal structure
```
Cs4TlI6
1.0
9.5750 -5.1591 0.0000
9.5750 5.1591 0.0000
-8.1515 0.0000 14.9989
Cs Tl I
8 2 12
direct
0.0641 0.9359 0.5000
0.3397 0.5575 0.1932
0.3824 0.9848 0.8294
0.5575 0.3397 0.6932
0.6236 0.9442 0.1790
0.9359 0.0641 0.0000
0.9442 0.6236 0.6790
0.9848 0.3824 0.3294
0.4625 0.9798 0.4226
0.9798 0.4625 0.9226
0.0130 0.6672 0.2778
0.1557 0.6252 0.9471
0.2053 0.2215 0.0346
0.2196 0.7155 0.6650
0.2215 0.2053 0.5346
0.2844 0.9651 0.2241
0.6252 0.1557 0.4471
0.6311 0.6504 0.4397
0.6504 0.6311 0.9397
0.6672 0.0130 0.7778
0.7155 0.2196 0.1650
0.9651 0.2844 0.7241
```

This entry pairs a crystal structure of PdI4Br with its theoretical XRD peak list. Radiation: λ = 1.5418 Å (Cu Kα). Structure: a crystal structure in Alexandria, relaxed with GGA-PBE.
No peak broadening, texture or thermal motion is included.

Peak list (6 most intense, 2θ from 5° to 70°, sorted by position)
- 2θ = 10.6°, 8.349 Å, rel. 51
- 2θ = 19.6°, 4.523 Å, rel. 100
- 2θ = 21.6°, 4.110 Å, rel. 43
- 2θ = 24.8°, 3.585 Å, rel. 32
- 2θ = 25.1°, 3.547 Å, rel. 31
- 2θ = 40.5°, 2.226 Å, rel. 48

Crystal structure
```
PdI4Br
1.0
3.8805 0.0000 0.0000
-0.0177 8.3729 0.0000
-0.1303 -0.6889 9.0466
Pd I Br
1 4 1
direct
0.0000 0.0000 0.0000
0.4969 0.7936 0.9388
0.5030 0.2063 0.0614
0.9875 0.8169 0.4679
0.9901 0.1542 0.5323
0.9877 0.4859 0.5012
```

This entry pairs a crystal structure of Ac4Si3Pt with its theoretical XRD peak list. Radiation: λ = 1.5418 Å (Cu Kα). Structure: a crystal structure in Alexandria, relaxed with GGA-PBE.
No peak broadening, texture or thermal motion is included.

Peak list (6 most intense, 2θ from 5° to 70°, sorted by position)
- 2θ = 26.0°, 3.430 Å, rel. 47
- 2θ = 29.7°, 3.012 Å, rel. 100
- 2θ = 30.0°, 2.983 Å, rel. 59
- 2θ = 30.5°, 2.935 Å, rel. 25
- 2θ = 36.9°, 2.438 Å, rel. 39
- 2θ = 39.1°, 2.305 Å, rel. 25

Crystal structure
```
Ac4Si3Pt
1.0
4.2279 0.0000 0.0000
0.0000 4.6108 0.0000
0.0000 0.0000 11.7384
Ac Si Pt
4 3 1
direct
0.0000 0.0000 0.0000
0.0000 0.5000 0.4941
0.5000 0.0000 0.2771
0.5000 0.5000 0.7818
0.0000 0.0000 0.7002
0.0000 0.5000 0.1995
0.5000 0.0000 0.5747
0.5000 0.5000 0.0719
```